Entry 1:
For HfNb2Rh6, the GGA-PBE geometry in Alexandria gives the simulated PXRD pattern in this record (a wavelength of 1.5418 Å).
No peak broadening, texture or thermal motion is included.

Structural model:
```
data_HfNb2Rh6
_chemical_formula_sum 'Hf1 Nb2 Rh6'
_cell_length_a 7.5191
_cell_length_b 7.5191
_cell_length_c 2.9164
_cell_angle_alpha 90.00
_cell_angle_beta 90.00
_cell_angle_gamma 120.00
_symmetry_space_group_name_H-M 'P -6 2 m'
_symmetry_Int_Tables_number 189
_symmetry_space_group_name_Hall 'P -6 -2'
loop_
_atom_site_label
_atom_site_type_symbol
_atom_site_fract_x
_atom_site_fract_y
_atom_site_fract_z
Hf1 Hf 0.0000 0.0000 0.0000
Nb1 Nb 0.3333 0.6667 0.5000
Rh1 Rh 0.0000 0.3017 0.5000
Rh2 Rh 0.0000 0.6312 0.0000
```

Most intense lines, 5 to 70 degrees two-theta, by intensity:
2.171 Å, 41.60°, I = 100.0
2.304 Å, 39.09°, I = 54.6
1.881 Å, 48.39°, I = 20.6
1.580 Å, 58.41°, I = 12.5
2.662 Å, 33.67°, I = 11.4
2.461 Å, 36.51°, I = 9.2

Entry 2:
For LaHo4Th2, the GGA-PBE geometry in Alexandria gives the simulated PXRD pattern in this record (a wavelength of 1.5418 Å).
No peak broadening, texture or thermal motion is included.

Structural model:
```
data_LaHo4Th2
_chemical_formula_sum 'La1 Ho4 Th2'
_cell_length_a 3.481
_cell_length_b 8.661
_cell_length_c 8.734
_cell_angle_alpha 63.48
_cell_angle_beta 89.85
_cell_angle_gamma 78.46
_symmetry_space_group_name_H-M 'P -1'
_symmetry_Int_Tables_number 2
_symmetry_space_group_name_Hall '-P 1'
loop_
_atom_site_label
_atom_site_type_symbol
_atom_site_fract_x
_atom_site_fract_y
_atom_site_fract_z
La1 La 0.000 0.000 0.000
Ho1 Ho 0.078 0.835 0.700
Ho2 Ho 0.359 0.285 0.587
Th1 Th 0.222 0.563 0.137
```

Most intense lines, 5 to 70 degrees two-theta, by intensity:
2.946 Å, 30.34°, I = 100.0
2.916 Å, 30.66°, I = 82.6
2.889 Å, 30.96°, I = 75.6
2.765 Å, 32.38°, I = 64.3
2.430 Å, 37.00°, I = 53.5
1.704 Å, 53.79°, I = 32.1

Entry 3:
For BaCdHg2Bi, the GGA-PBE geometry in Alexandria gives the simulated PXRD pattern in this record (a wavelength of 1.5418 Å).
No peak broadening, texture or thermal motion is included.

Structural model:
```
data_BaCdHg2Bi
_chemical_formula_sum 'Ba2 Cd2 Hg4 Bi2'
_cell_length_a 4.851
_cell_length_b 5.081
_cell_length_c 12.953
_cell_angle_alpha 90.00
_cell_angle_beta 90.00
_cell_angle_gamma 90.00
_symmetry_space_group_name_H-M 'I m m 2'
_symmetry_Int_Tables_number 44
_symmetry_space_group_name_Hall 'I 2 -2'
loop_
_atom_site_label
_atom_site_type_symbol
_atom_site_fract_x
_atom_site_fract_y
_atom_site_fract_z
Ba1 Ba 0.000 0.000 0.000
Cd1 Cd 0.000 0.500 0.762
Hg1 Hg 0.000 0.000 0.389
Hg2 Hg 0.000 0.500 0.278
Bi1 Bi 0.000 0.000 0.619
```

Most intense lines, 5 to 70 degrees two-theta, by intensity:
3.085 Å, 28.94°, I = 100.0
2.380 Å, 37.81°, I = 63.5
2.540 Å, 35.33°, I = 44.2
3.225 Å, 27.66°, I = 43.5
2.426 Å, 37.06°, I = 38.8
2.308 Å, 39.03°, I = 34.2